(1)
Simulated powder XRD pattern
Compound: Li2TeHSe
Radiation: Cu Kα (λ = 1.5418 Å)
Structure: a DFT-relaxed cell (PBE, Alexandria)
Kinematic intensities with the Lorentz-polarization factor, no thermal factor.

Peak list (10 most intense, 2θ from 10° to 90°, sorted by position)
Position (°2θ)  intensity  index
24.07  85.3  1 1 0
30.46  100.0  1 0 1
34.30  41.3  2 0 0
46.52  61.3  2 1 1
49.30  14.6  2 2 0
55.59  16.5  3 1 0
57.66  15.0  1 1 2
59.06  15.0  3 0 1
63.38  13.1  2 0 2
70.11  17.8  3 2 1

Cell and atoms:
Cell lengths 5.2281, 5.2281, 3.5464 Å; angles 90.00, 90.00, 90.00 degrees
Space group P4mm (No. 99)
Asymmetric unit:
Li  0.0000  0.5000  0.0000 (multiplicity 2)
Te  0.0000  0.0000  0.5510 (multiplicity 1)
H  0.5000  0.5000  0.4854 (multiplicity 1)
Se  0.5000  0.5000  0.0672 (multiplicity 1)

(2)
Simulated powder XRD pattern
Compound: Cs2SbTeSe4
Radiation: Cu Kα (λ = 1.5418 Å)
Structure: a DFT-relaxed cell (PBE, Alexandria)
Kinematic intensities with the Lorentz-polarization factor, no thermal factor.

Peak list (10 most intense, 2θ from 10° to 90°, sorted by position)
Position (°2θ)  intensity  index
22.97  24.0  2 2 0
26.09  100.0  0 0 2
27.98  82.3  0 4 0
28.11  80.8  4 0 -2
36.90  34.9  4 0 0
38.62  62.1  0 4 2
40.08  54.6  4 4 -2
40.48  29.4  4 0 -4
46.93  29.0  4 4 0
49.93  28.6  4 4 -4

Cell and atoms:
Cell lengths 12.7476, 12.7578, 8.9371 Å; angles 90.00, 130.15, 90.00 degrees
Space group C2/c (No. 15)
Asymmetric unit:
Cs  0.0000  0.0000  0.0000 (multiplicity 4)
Cs  0.2500  0.2500  0.0000 (multiplicity 4)
Sb  0.0000  0.5000  0.0000 (multiplicity 4)
Te  0.2500  0.2500  0.5000 (multiplicity 4)
Se  0.0262  0.2711  0.4932 (multiplicity 8)
Se  0.2036  0.4751  0.4383 (multiplicity 8)

(3)
Simulated powder XRD pattern
Compound: TbPr2Sm4Er2
Radiation: Cu Kα (λ = 1.5418 Å)
Structure: a DFT-relaxed cell (PBE, Alexandria)
Kinematic intensities with the Lorentz-polarization factor, no thermal factor.

Peak list (10 most intense, 2θ from 10° to 90°, sorted by position)
Position (°2θ)  intensity  index
29.43  68.6  2 1 1
30.98  100.0  0 2 1
31.29  84.8  1 0 -2
31.44  83.3  1 -1 2
31.94  77.2  1 2 -1
31.98  81.9  1 1 3
42.34  24.7  2 -1 0
44.16  22.0  2 3 2
47.44  28.2  0 1 -4
56.10  31.1  1 3 4

Cell and atoms:
Cell lengths 6.0750, 6.6986, 8.6912 Å; angles 79.91, 70.59, 65.16 degrees
Space group P-1 (No. 2)
Asymmetric unit:
Tb  0.0000  0.0000  0.0000 (multiplicity 1)
Pr  0.2678  0.6761  0.6566 (multiplicity 2)
Sm  0.2623  0.4218  0.1176 (multiplicity 2)
Sm  0.3796  0.8721  0.2400 (multiplicity 2)
Er  0.1789  0.2295  0.5554 (multiplicity 2)

(4)
Simulated powder XRD pattern
Compound: NaCdF2
Radiation: Cu Kα (λ = 1.5418 Å)
Structure: a DFT-relaxed cell (PBE, Alexandria)
Kinematic intensities with the Lorentz-polarization factor, no thermal factor.

Peak list (10 most intense, 2θ from 10° to 90°, sorted by position)
Position (°2θ)  intensity  index
12.73  69.7  0 0 3
25.63  33.3  0 0 6
31.14  72.2  1 0 1
32.04  100.0  0 1 2
35.42  37.3  1 0 4
43.56  14.6  1 0 7
46.87  38.5  0 1 8
54.18  28.4  1 0 10
54.84  27.9  1 1 0
61.48  17.3  1 1 6

Cell and atoms:
Cell lengths 3.3482, 3.3482, 20.8538 Å; angles 90.00, 90.00, 120.00 degrees
Space group R-3m (No. 166, hexagonal axes)
Asymmetric unit:
Na  0.0000  0.0000  0.0000 (multiplicity 3)
Cd  0.0000  0.0000  0.5000 (multiplicity 3)
F  0.0000  0.0000  0.3945 (multiplicity 6)

(5)
Simulated powder XRD pattern
Compound: Ca2LaP
Radiation: Cu Kα (λ = 1.5418 Å)
Structure: a DFT-relaxed cell (PBE, Alexandria)
Kinematic intensities with the Lorentz-polarization factor, no thermal factor.

Peak list (10 most intense, 2θ from 10° to 90°, sorted by position)
Position (°2θ)  intensity  index
24.15  31.8  1 0 0
25.87  83.7  1 0 1
27.63  38.3  0 0 3
30.48  100.0  1 0 2
34.41  74.5  1 1 0
35.68  27.5  1 1 1
37.02  53.3  1 0 3
44.74  81.1  1 0 4
49.46  25.5  2 0 0
59.22  28.3  2 1 2

Cell and atoms:
Cell lengths 3.6856, 3.6856, 9.6846 Å; angles 90.00, 90.00, 90.00 degrees
Space group P4mm (No. 99)
Asymmetric unit:
Ca  0.0000  0.0000  0.0000 (multiplicity 1)
Ca  0.5000  0.5000  0.3259 (multiplicity 1)
La  0.0000  0.0000  0.6696 (multiplicity 1)
P  0.5000  0.5000  0.8212 (multiplicity 1)

(6)
Simulated powder XRD pattern
Compound: Li2AcPbF8
Radiation: Cu Kα (λ = 1.5418 Å)
Structure: a DFT-relaxed cell (PBE, Alexandria)
Kinematic intensities with the Lorentz-polarization factor, no thermal factor.

Peak list (10 most intense, 2θ from 10° to 90°, sorted by position)
Position (°2θ)  intensity  index
18.01  100.0  1 0 1
27.80  77.7  1 1 2
28.17  25.8  1 0 3
37.85  36.8  2 1 1
42.04  16.0  1 0 5
43.93  27.2  1 2 3
45.59  25.6  2 0 4
52.64  15.1  1 1 6
55.81  25.8  1 3 2
73.52  16.8  2 0 8

Cell and atoms:
Cell lengths 5.4285, 5.4285, 11.7012 Å; angles 90.00, 90.00, 90.00 degrees
Space group I-4 (No. 82)
Asymmetric unit:
Li  0.0000  0.0000  0.0000 (multiplicity 2)
Li  0.0000  0.5000  0.2500 (multiplicity 2)
Ac  0.0000  0.5000  0.7500 (multiplicity 2)
Pb  0.0000  0.0000  0.5000 (multiplicity 2)
F  0.1454  0.7734  0.3325 (multiplicity 8)
F  0.1665  0.2736  0.9250 (multiplicity 8)

(7)
Simulated powder XRD pattern
Compound: TlCuAg2Cl4
Radiation: Cu Kα (λ = 1.5418 Å)
Structure: a DFT-relaxed cell (PBE, Alexandria)
Kinematic intensities with the Lorentz-polarization factor, no thermal factor.

Peak list (10 most intense, 2θ from 10° to 90°, sorted by position)
Position (°2θ)  intensity  index
16.01  10.7  1 1 1
25.87  100.0  2 0 2
27.08  24.0  2 2 0
38.57  11.4  0 4 0
38.76  11.3  4 0 0
44.88  30.9  2 2 4
47.05  19.2  2 4 2
47.18  18.9  4 2 2
57.57  10.5  0 2 6
71.52  9.7  4 2 6

Cell and atoms:
Cell lengths 9.2918, 9.3367, 10.2289 Å; angles 90.00, 90.00, 90.00 degrees
Space group Fmm2 (No. 42)
Asymmetric unit:
Tl  0.0000  0.0000  0.0000 (multiplicity 4)
Cu  0.0000  0.0000  0.5037 (multiplicity 4)
Ag  0.2500  0.2500  0.2527 (multiplicity 8)
Cl  0.0000  0.1990  0.3654 (multiplicity 8)
Cl  0.2005  0.0000  0.6408 (multiplicity 8)

(8)
Simulated powder XRD pattern
Compound: Tm8ThSc4
Radiation: Cu Kα (λ = 1.5418 Å)
Structure: a DFT-relaxed cell (PBE, Alexandria)
Kinematic intensities with the Lorentz-polarization factor, no thermal factor.

Peak list (10 most intense, 2θ from 10° to 90°, sorted by position)
Position (°2θ)  intensity  index
16.59  21.8  0 1 2
28.51  34.3  1 1 3
32.02  38.4  2 0 2
32.17  50.4  1 1 6
32.46  38.9  1 0 10
33.54  100.0  0 2 4
39.08  36.4  2 0 8
51.49  21.3  2 1 10
56.09  31.8  2 2 0
56.83  28.9  0 2 16

Cell and atoms:
Cell lengths 6.5582, 6.5582, 31.5584 Å; angles 90.00, 90.00, 120.00 degrees
Space group R-3m (No. 166, hexagonal axes)
Asymmetric unit:
Tm  0.0000  0.0000  0.1963 (multiplicity 6)
Tm  0.0046  0.5023  0.7516 (multiplicity 18)
Th  0.0000  0.0000  0.5000 (multiplicity 3)
Sc  0.0000  0.0000  0.0000 (multiplicity 3)
Sc  0.0000  0.5000  0.0000 (multiplicity 9)

Q: What is the formula in the first record?
A: Li2TeHSe